[1]
This entry pairs a crystal structure of Bi3IrO2 with its theoretical X-ray powder pattern. Radiation: CuKα. Structure: a crystal structure in the Materials Project, relaxed with GGA-PBE.

Cell and atoms:
a = 10.123 Å, b = 3.765 Å, c = 13.015 Å
α = 90.00°, β = 90.00°, γ = 90.00°
Sites, in units of the cell vectors:
Bi1 0.109 0.250 0.196
Bi2 0.126 0.250 0.591
Bi3 0.197 0.250 0.896
Bi4 0.303 0.750 0.396
Bi5 0.374 0.750 0.091
Bi6 0.391 0.750 0.696
Bi7 0.609 0.250 0.304
Bi8 0.626 0.250 0.909
Bi9 0.697 0.250 0.604
Bi10 0.803 0.750 0.104
Bi11 0.874 0.750 0.409
Bi12 0.891 0.750 0.804
Ir1 0.093 0.750 0.034
Ir2 0.407 0.250 0.534
Ir3 0.593 0.750 0.466
Ir4 0.907 0.250 0.966
O1 0.107 0.750 0.477
O2 0.169 0.750 0.709
O3 0.331 0.250 0.209
O4 0.393 0.250 0.977
O5 0.607 0.750 0.023
O6 0.669 0.750 0.791
O7 0.831 0.250 0.291
O8 0.893 0.250 0.523

The 6 most intense peaks (10° ≤ 2θ ≤ 90°), by angle:
2θ 11.1, I 40.8
2θ 27.1, I 33.5
2θ 29.8, I 51.6
2θ 31.5, I 100.0
2θ 32.7, I 54.8
2θ 36.4, I 33.6


[2]
This entry pairs a crystal structure of BiIrS with its theoretical X-ray powder pattern. Radiation: CuKα. Structure: a crystal structure in the Materials Project, relaxed with GGA-PBE.

Cell and atoms:
a = 6.219 Å, b = 6.219 Å, c = 6.219 Å
α = 90.00°, β = 90.00°, γ = 90.00°
Sites, in units of the cell vectors:
Bi1 0.129 0.371 0.629
Bi2 0.371 0.629 0.129
Bi3 0.629 0.129 0.371
Bi4 0.871 0.871 0.871
Ir1 0.023 0.977 0.477
Ir2 0.477 0.023 0.977
Ir3 0.523 0.523 0.523
Ir4 0.977 0.477 0.023
S1 0.118 0.118 0.118
S2 0.382 0.882 0.618
S3 0.618 0.382 0.882
S4 0.882 0.618 0.382

The 6 most intense peaks (10° ≤ 2θ ≤ 90°), by angle:
2θ 24.8, I 33.9
2θ 28.7, I 36.5
2θ 32.2, I 100.0
2θ 35.4, I 47.7
2θ 48.6, I 78.3
2θ 55.3, I 30.5


[3]
This entry pairs a crystal structure of K3Bi with its theoretical X-ray powder pattern. Radiation: CuKα. Structure: a crystal structure in the Materials Project, relaxed with GGA-PBE.

Cell and atoms:
a = 6.246 Å, b = 6.246 Å, c = 11.093 Å
α = 90.00°, β = 90.00°, γ = 120.00°
Sites, in units of the cell vectors:
K1 0.000 0.000 0.250
K2 0.000 0.000 0.750
K3 0.333 0.667 0.082
K4 0.333 0.667 0.418
K5 0.667 0.333 0.582
K6 0.667 0.333 0.918
Bi1 0.333 0.667 0.750
Bi2 0.667 0.333 0.250

The 6 most intense peaks (10° ≤ 2θ ≤ 90°), by angle:
2θ 16.0, I 45.8
2θ 18.2, I 96.9
2θ 28.6, I 92.8
2θ 29.3, I 100.0
2θ 32.9, I 49.5
2θ 51.0, I 41.7


[4]
This entry pairs a crystal structure of K3Bi with its theoretical X-ray powder pattern. Radiation: CuKα. Structure: a crystal structure in the Materials Project, relaxed with GGA-PBE.

Cell and atoms:
a = 8.725 Å, b = 8.725 Å, c = 8.725 Å
α = 90.00°, β = 90.00°, γ = 90.00°
Sites, in units of the cell vectors:
K1 0.000 0.000 0.000
K2 0.000 0.500 0.500
K3 0.250 0.250 0.250
K4 0.250 0.250 0.750
K5 0.250 0.750 0.250
K6 0.250 0.750 0.750
K7 0.500 0.000 0.500
K8 0.500 0.500 0.000
K9 0.750 0.250 0.250
K10 0.750 0.250 0.750
K11 0.750 0.750 0.250
K12 0.750 0.750 0.750
Bi1 0.000 0.000 0.500
Bi2 0.000 0.500 0.000
Bi3 0.500 0.000 0.000
Bi4 0.500 0.500 0.500

The 6 most intense peaks (10° ≤ 2θ ≤ 90°), by angle:
2θ 17.6, I 51.5
2θ 20.4, I 27.9
2θ 28.9, I 100.0
2θ 34.1, I 32.9
2θ 51.3, I 39.1
2θ 82.8, I 19.4


[5]
This entry pairs a crystal structure of K5Bi4 with its theoretical X-ray powder pattern. Radiation: CuKα. Structure: a crystal structure in the Materials Project, relaxed with GGA-PBE.

Cell and atoms:
a = 7.009 Å, b = 7.009 Å, c = 11.728 Å
α = 109.41°, β = 109.41°, γ = 47.74°
Sites, in units of the cell vectors:
K1 0.000 0.000 0.000
K2 0.096 0.096 0.390
K3 0.244 0.244 0.832
K4 0.756 0.756 0.168
K5 0.904 0.904 0.610
Bi1 0.390 0.390 0.390
Bi2 0.455 0.455 0.168
Bi3 0.545 0.545 0.832
Bi4 0.610 0.610 0.610

The 6 most intense peaks (10° ≤ 2θ ≤ 90°), by angle:
2θ 14.8, I 34.3
2θ 17.3, I 100.0
2θ 19.4, I 26.6
2θ 27.8, I 32.3
2θ 30.9, I 97.7
2θ 31.5, I 36.1


[6]
This entry pairs a crystal structure of KBi2 with its theoretical X-ray powder pattern. Radiation: CuKα. Structure: a crystal structure in the Materials Project, relaxed with GGA-PBE.

Cell and atoms:
a = 6.791 Å, b = 6.791 Å, c = 6.791 Å
α = 60.00°, β = 60.00°, γ = 60.00°
Sites, in units of the cell vectors:
K1 0.125 0.125 0.125
K2 0.875 0.875 0.875
Bi1 0.000 0.500 0.500
Bi2 0.500 0.000 0.500
Bi3 0.500 0.500 0.000
Bi4 0.500 0.500 0.500

The 6 most intense peaks (10° ≤ 2θ ≤ 90°), by angle:
2θ 16.0, I 86.7
2θ 30.9, I 100.0
2θ 32.3, I 91.3
2θ 37.5, I 37.9
2θ 54.0, I 39.3
2θ 64.3, I 39.7